No. 1
The following is a theoretical powder diffractogram of Th2Zn17. It was derived from a crystal structure in OQMD, relaxed with GGA-PBE, using copper Kα.

Structural model:
Lattice parameters (Å, degrees): 9.0230 9.0230 8.8391 90.00 90.00 120.00
Space group P6_3/mmc (No. 194)
Symmetry-distinct sites (fractional):
Th  0.0000  0.0000  0.2500 [2 per cell]
Th  0.3333  0.6667  0.2500 [2 per cell]
Zn  0.0000  0.5000  0.0000 [6 per cell]
Zn  0.0432  0.3730  0.7500 [12 per cell]
Zn  0.1621  0.3241  0.0227 [12 per cell]
Zn  0.3333  0.6667  0.6033 [4 per cell]

Most intense lines, 2θ from 10° to 90°, low angle first:
(1 1 2), 28.27 deg, I 47.3; (3 0 0), 34.43 deg, I 42.6; (2 0 3), 38.26 deg, I 38.5; (2 2 0), 39.97 deg, I 60.6; (3 0 2), 40.19 deg, I 100.0; (0 0 4), 40.84 deg, I 30.3; (4 1 2), 57.97 deg, I 19.5; (2 2 4), 58.47 deg, I 18.6; (6 0 0), 72.59 deg, I 16.6; (3 0 6), 73.91 deg, I 19.4

No. 2
The following is a theoretical powder diffractogram of Gd2YCd3Ag3. It was derived from a crystal structure in OQMD, relaxed with GGA-PBE, using copper Kα.

Structural model:
Lattice parameters (Å, degrees): 3.9264 13.6500 7.8772 90.00 90.00 90.00
Space group Amm2 (No. 38)
Symmetry-distinct sites (fractional):
Gd  0.0000  0.2021  0.0000 [4 per cell]
Y  0.0000  0.0000  0.6064 [2 per cell]
Cd  0.5000  0.0000  0.9383 [2 per cell]
Cd  0.5000  0.1310  0.3339 [4 per cell]
Ag  0.0000  0.0000  0.2023 [2 per cell]
Ag  0.5000  0.1663  0.7018 [4 per cell]

Most intense lines, 2θ from 10° to 90°, low angle first:
(1 3 1), 32.19 deg, I 75.1; (1 2 2), 34.82 deg, I 100.0; (0 3 3), 39.63 deg, I 35.3; (1 5 1), 41.91 deg, I 21.0; (2 0 0), 46.24 deg, I 17.6; (0 4 4), 53.76 deg, I 11.1; (2 5 1), 59.14 deg, I 14.3; (2 3 3), 62.50 deg, I 17.6; (1 7 3), 64.03 deg, I 25.3; (1 5 5), 73.45 deg, I 12.4

No. 3
The following is a theoretical powder diffractogram of K2PtF4. It was derived from a crystal structure in OQMD, relaxed with GGA-PBE, using copper Kα.

Structural model:
Lattice parameters (Å, degrees): 5.8897 5.8897 3.4061 90.00 90.00 90.00
Space group P4/mmm (No. 123)
Symmetry-distinct sites (fractional):
K  0.0000  0.5000  0.0000 [2 per cell]
Pt  0.0000  0.0000  0.5000 [1 per cell]
F  0.2404  0.2404  0.5000 [4 per cell]

Most intense lines, 2θ from 10° to 90°, low angle first:
(1 0 0), 15.04 deg, I 100.0; (1 1 0), 21.34 deg, I 13.0; (0 0 1), 26.16 deg, I 12.9; (1 0 1), 30.33 deg, I 56.2; (1 1 1), 34.01 deg, I 79.8; (2 2 0), 43.44 deg, I 48.1; (3 1 1), 56.29 deg, I 38.6; (4 0 0), 63.11 deg, I 21.9; (4 1 0), 65.27 deg, I 12.3; (2 2 2), 71.61 deg, I 19.1

No. 4
The following is a theoretical powder diffractogram of ScTlZnS3. It was derived from a crystal structure in OQMD, relaxed with GGA-PBE, using copper Kα.

Structural model:
Lattice parameters (Å, degrees): 7.9224 3.8183 10.1029 90.00 111.66 90.00
Space group P2_1/m (No. 11)
Symmetry-distinct sites (fractional):
Sc  0.1836  0.2500  0.1356 [2 per cell]
Tl  0.2266  0.7500  0.7186 [2 per cell]
Zn  0.4218  0.7500  0.3884 [2 per cell]
S  0.0436  0.2500  0.8684 [2 per cell]
S  0.2712  0.2500  0.4307 [2 per cell]
S  0.4164  0.7500  0.1586 [2 per cell]

Most intense lines, 2θ from 10° to 90°, low angle first:
(1 0 1), 17.84 deg, I 75.3; (0 0 2), 18.90 deg, I 59.4; (2 0 -2), 24.61 deg, I 57.6; (0 1 1), 25.18 deg, I 41.4; (1 1 0), 26.29 deg, I 48.0; (1 0 -3), 26.52 deg, I 42.9; (1 1 -2), 29.77 deg, I 87.9; (2 1 -1), 32.58 deg, I 100.0; (0 1 3), 37.12 deg, I 40.0; (2 1 1), 37.64 deg, I 48.8

No. 5
The following is a theoretical powder diffractogram of Cs2Fe. It was derived from a crystal structure in OQMD, relaxed with GGA-PBE, using copper Kα.

Structural model:
Lattice parameters (Å, degrees): 4.7818 4.7818 26.9296 90.00 90.00 120.00
Space group R-3m (No. 166, hexagonal axes)
Symmetry-distinct sites (fractional):
Cs  0.0000  0.0000  0.2472 [6 per cell]
Fe  0.0000  0.0000  0.0000 [3 per cell]

Most intense lines, 2θ from 10° to 90°, low angle first:
(0 0 6), 19.78 deg, I 23.1; (0 1 2), 22.46 deg, I 52.0; (1 0 4), 25.25 deg, I 100.0; (0 1 8), 34.33 deg, I 43.8; (1 1 0), 37.62 deg, I 34.5; (1 1 6), 42.86 deg, I 18.5; (0 2 4), 45.85 deg, I 19.3; (2 0 8), 51.84 deg, I 13.2; (1 1 12), 56.22 deg, I 20.2; (2 1 4), 60.75 deg, I 16.5

No. 6
The following is a theoretical powder diffractogram of Y3P4Pd7. It was derived from a crystal structure in OQMD, relaxed with GGA-PBE, using copper Kα.

Structural model:
Lattice parameters (Å, degrees): 15.3862 4.0150 9.4092 90.00 125.47 90.00
Space group C2/m (No. 12)
Symmetry-distinct sites (fractional):
Y  0.0000  0.0000  0.0000 [2 per cell]
Y  0.1805  0.5000  0.6779 [4 per cell]
P  0.1061  0.0000  0.8199 [4 per cell]
P  0.1597  0.5000  0.2546 [4 per cell]
Pd  0.0000  0.0000  0.5000 [2 per cell]
Pd  0.0096  0.5000  0.2830 [4 per cell]
Pd  0.1676  0.0000  0.4203 [4 per cell]
Pd  0.1949  0.5000  0.0301 [4 per cell]

Most intense lines, 2θ from 10° to 90°, low angle first:
(3 1 -2), 30.30 deg, I 29.3; (1 1 2), 36.00 deg, I 100.0; (5 1 -2), 36.90 deg, I 64.3; (3 1 1), 37.37 deg, I 24.8; (5 1 -1), 37.95 deg, I 22.2; (4 0 -4), 38.29 deg, I 26.6; (5 1 -3), 39.62 deg, I 36.5; (6 0 0), 43.33 deg, I 35.5; (0 2 0), 45.17 deg, I 51.3; (6 2 0), 64.37 deg, I 21.2

No. 7
The following is a theoretical powder diffractogram of Fe3PdAu2. It was derived from a crystal structure in OQMD, relaxed with GGA-PBE, using copper Kα.

Structural model:
Lattice parameters (Å, degrees): 5.0473 5.0473 4.1947 90.00 90.00 120.00
Space group P6/mmm (No. 191)
Symmetry-distinct sites (fractional):
Fe  0.0000  0.5000  0.0000 [3 per cell]
Pd  0.0000  0.0000  0.5000 [1 per cell]
Au  0.3333  0.6667  0.5000 [2 per cell]

Most intense lines, 2θ from 10° to 90°, low angle first:
(1 0 0), 20.32 deg, I 21.4; (0 0 1), 21.18 deg, I 30.7; (1 1 0), 35.57 deg, I 48.7; (1 1 1), 41.77 deg, I 100.0; (0 0 2), 43.13 deg, I 22.1; (2 0 1), 46.87 deg, I 15.8; (1 1 2), 57.10 deg, I 25.5; (3 0 1), 68.13 deg, I 23.4; (2 2 0), 75.32 deg, I 12.5; (1 1 3), 78.15 deg, I 16.0

No. 8
The following is a theoretical powder diffractogram of Zr5ReNi2. It was derived from a crystal structure in OQMD, relaxed with GGA-PBE, using copper Kα.

Structural model:
Lattice parameters (Å, degrees): 4.6676 6.5034 9.6678 90.00 90.00 90.00
Space group Amm2 (No. 38)
Symmetry-distinct sites (fractional):
Zr  0.0000  0.0000  0.0000 [2 per cell]
Zr  0.0000  0.2470  0.7481 [4 per cell]
Zr  0.5000  0.2308  0.5087 [4 per cell]
Re  0.5000  0.0000  0.2458 [2 per cell]
Ni  0.0000  0.0000  0.4702 [2 per cell]
Ni  0.5000  0.0000  0.7869 [2 per cell]

Most intense lines, 2θ from 10° to 90°, low angle first:
(0 1 1), 16.43 deg, I 9.3; (1 1 3), 36.59 deg, I 7.0; (0 0 4), 37.20 deg, I 20.2; (2 0 0), 38.55 deg, I 100.0; (2 0 4), 54.67 deg, I 14.1; (0 4 0), 56.61 deg, I 6.2; (1 2 6), 67.97 deg, I 11.7; (3 2 2), 69.75 deg, I 18.9; (2 4 0), 70.60 deg, I 6.3; (4 0 0), 82.63 deg, I 10.6

No. 9
The following is a theoretical powder diffractogram of Pr2CdB2. It was derived from a crystal structure in OQMD, relaxed with GGA-PBE, using copper Kα.

Structural model:
Lattice parameters (Å, degrees): 10.0686 19.4621 4.2578 90.00 90.00 90.00
Space group Fdd2 (No. 43)
Symmetry-distinct sites (fractional):
Pr  0.0262  0.1734  0.0000 [16 per cell]
Cd  0.0000  0.0000  0.2607 [8 per cell]
B  0.0559  0.0343  0.7601 [16 per cell]

Most intense lines, 2θ from 10° to 90°, low angle first:
(1 1 1), 23.14 deg, I 28.7; (1 3 1), 26.56 deg, I 100.0; (1 5 1), 32.41 deg, I 34.4; (2 6 0), 32.85 deg, I 93.9; (3 1 1), 34.33 deg, I 37.0; (4 0 0), 35.67 deg, I 30.7; (3 3 1), 36.82 deg, I 51.5; (0 2 2), 43.52 deg, I 25.0; (1 9 1), 48.05 deg, I 20.8; (2 8 2), 60.66 deg, I 21.9

No. 10
The following is a theoretical powder diffractogram of BaGdHgAs2. It was derived from a crystal structure in OQMD, relaxed with GGA-PBE, using copper Kα.

Structural model:
Lattice parameters (Å, degrees): 4.3152 18.1669 7.3552 90.00 90.00 90.00
Space group Cmc2_1 (No. 36)
Symmetry-distinct sites (fractional):
Ba  0.0000  0.1942  0.0000 [4 per cell]
Gd  0.0000  0.0230  0.6718 [4 per cell]
Hg  0.0000  0.3907  0.8445 [4 per cell]
As  0.0000  0.1699  0.5251 [4 per cell]
As  0.0000  0.4575  0.4476 [4 per cell]

Most intense lines, 2θ from 10° to 90°, low angle first:
(0 2 1), 15.50 deg, I 38.9; (1 1 1), 24.41 deg, I 48.2; (1 3 1), 28.14 deg, I 47.4; (0 4 2), 31.30 deg, I 30.3; (0 6 1), 31.96 deg, I 55.8; (1 5 0), 32.21 deg, I 100.0; (1 1 2), 32.36 deg, I 98.7; (1 3 2), 35.33 deg, I 86.4; (2 0 0), 41.87 deg, I 50.3; (3 5 0), 70.43 deg, I 31.1

No. 11
The following is a theoretical powder diffractogram of TmNbOs. It was derived from a crystal structure in OQMD, relaxed with GGA-PBE, using copper Kα.

Structural model:
Lattice parameters (Å, degrees): 6.3332 6.3332 6.3332 90.00 90.00 90.00
Space group F-43m (No. 216)
Symmetry-distinct sites (fractional):
Tm  0.0000  0.0000  0.0000 [4 per cell]
Nb  0.2500  0.2500  0.7500 [4 per cell]
Os  0.0000  0.0000  0.5000 [4 per cell]

Most intense lines, 2θ from 10° to 90°, low angle first:
(1 1 1), 24.34 deg, I 12.0; (2 0 0), 28.18 deg, I 42.3; (2 2 0), 40.28 deg, I 100.0; (3 1 1), 47.62 deg, I 5.7; (2 2 2), 49.88 deg, I 12.2; (4 0 0), 58.27 deg, I 17.0; (3 3 1), 64.09 deg, I 2.3; (4 2 0), 65.96 deg, I 16.1; (4 2 2), 73.22 deg, I 34.5; (4 4 0), 87.04 deg, I 11.3

No. 12
The following is a theoretical powder diffractogram of Sc3In3PdAu. It was derived from a crystal structure in OQMD, relaxed with GGA-PBE, using copper Kα.

Structural model:
Lattice parameters (Å, degrees): 7.5796 7.5796 3.3905 90.00 90.00 120.00
Space group P-6 (No. 174)
Symmetry-distinct sites (fractional):
Sc  0.0087  0.5904  0.0000 [3 per cell]
In  0.0026  0.2367  0.5000 [3 per cell]
Pd  0.3333  0.6667  0.5000 [1 per cell]
Au  0.6667  0.3333  0.5000 [1 per cell]

Most intense lines, 2θ from 10° to 90°, low angle first:
(1 1 0), 23.47 deg, I 30.4; (0 0 1), 26.29 deg, I 53.1; (1 1 1), 35.53 deg, I 86.1; (1 2 0), 36.21 deg, I 100.0; (2 0 1), 38.16 deg, I 57.8; (3 0 0), 41.26 deg, I 29.6; (1 2 1), 45.29 deg, I 62.9; (1 2 2), 66.84 deg, I 31.7; (3 2 1), 68.13 deg, I 22.8; (1 4 1), 71.50 deg, I 34.7